Starting from DFT lattice parameters and positions (PBE), the powder diffraction line list of CaY4Bi4O12 was simulated for CuKα.
No peak broadening, texture or thermal motion is included.

```
CaY4Bi4O12
1.0
6.388 0.000 0.000
0.000 7.836 0.000
-0.966 0.000 6.697
Ca Y Bi O
1 4 4 12
Cartesian
0.000 0.000 0.000 Ca
1.016 3.918 4.948 Y
1.821 0.000 4.546 Y
5.259 3.918 1.979 Y
5.194 0.000 2.810 Y
2.300 2.115 1.359 Bi
2.300 5.720 1.359 Bi
4.278 2.462 5.298 Bi
4.278 5.374 5.298 Bi
0.540 3.918 0.629 O
1.003 0.000 2.364 O
0.766 1.397 6.092 O
0.766 6.439 6.092 O
2.461 2.345 4.072 O
2.461 5.491 4.072 O
3.376 3.918 0.388 O
4.485 1.536 1.394 O
4.485 6.300 1.394 O
4.036 0.000 4.627 O
5.849 2.517 3.711 O
5.849 5.319 3.711 O
```

The 8 most intense peaks (5 to 70 degrees two-theta), in order of falling intensity:
| 2theta | Rel. int. |
| --- | --- |
| 28.27 | 100 |
| 30.87 | 88 |
| 29.03 | 86 |
| 26.62 | 49 |
| 20.65 | 32 |
| 17.87 | 27 |
| 42.02 | 27 |
| 37.52 | 25 |

Starting from DFT lattice parameters and positions (PBE), the powder diffraction line list of CaY4Bi4O12 was simulated for CuKα.
No peak broadening, texture or thermal motion is included.

```
CaY4Bi4O12
1.0
5.919 0.000 0.000
0.159 6.365 0.000
0.130 1.196 9.317
Ca Y Bi O
1 4 4 12
Cartesian
0.000 0.000 0.000 Ca
0.436 5.424 3.396 Y
3.139 2.307 7.994 Y
3.246 1.136 2.598 Y
6.023 4.888 7.409 Y
0.314 2.690 1.356 Bi
3.026 5.768 6.004 Bi
3.228 4.446 0.844 Bi
5.994 2.103 5.104 Bi
1.101 4.626 5.483 O
1.116 3.145 8.360 O
1.800 6.538 7.683 O
1.658 0.840 4.259 O
1.897 6.030 1.617 O
2.332 3.251 2.418 O
4.090 3.863 6.767 O
3.985 1.749 0.465 O
4.677 6.810 7.698 O
4.707 5.704 1.857 O
4.853 6.910 4.313 O
5.395 3.304 3.435 O
```

The 8 most intense peaks (5 to 70 degrees two-theta), in order of falling intensity:
| 2theta | Rel. int. |
| --- | --- |
| 29.47 | 100 |
| 29.34 | 95 |
| 30.21 | 83 |
| 32.87 | 61 |
| 30.42 | 60 |
| 32.14 | 53 |
| 20.81 | 42 |
| 27.21 | 39 |